[1]
Diffraction record for TmUPb2S6. The powder diffraction line list is theoretical, not measured: it uses a structure optimized by DFT (GGA-PBE) and Cu Ka.

```
TmUPb2S6
1.0
6.9074 0.0000 0.0000
0.0000 7.3517 0.0000
-6.7911 0.0000 10.0496
Tm U Pb S
2 2 4 12
Direct
0.0000 0.0000 0.0000
0.0000 0.5000 0.5000
0.5000 0.0000 0.5000
0.5000 0.5000 0.0000
0.2198 0.0745 0.7444
0.2198 0.4255 0.2444
0.7802 0.5745 0.7556
0.7802 0.9255 0.2556
0.1350 0.1897 0.4436
0.1350 0.3103 0.9436
0.2535 0.6987 0.4372
0.2535 0.8013 0.9372
0.3729 0.0333 0.2530
0.3729 0.4667 0.7530
0.6271 0.5333 0.2470
0.6271 0.9667 0.7470
0.7465 0.1987 0.0628
0.7465 0.3013 0.5628
0.8650 0.6897 0.0564
0.8650 0.8103 0.5564
```

Main lines, in order of rising 2θ (5 to 70 degrees two-theta):
| 2θ (°) | intensity |
| --- | --- |
| 24.21 | 40 |
| 24.93 | 100 |
| 25.15 | 100 |
| 25.80 | 60 |
| 35.70 | 75 |
| 44.85 | 45 |



[2]
Diffraction record for Sm3Ag3Bi4. The powder diffraction line list is theoretical, not measured: it uses a structure optimized by DFT (GGA-PBE) and Cu Ka.

```
Sm3Ag3Bi4
1.0
-5.1424 5.1424 5.1424
5.1424 -5.1424 5.1424
5.1424 5.1424 -5.1424
Sm Ag Bi
6 6 8
Direct
0.1250 0.8750 0.2500
0.2500 0.1250 0.8750
0.3750 0.6250 0.7500
0.6250 0.7500 0.3750
0.7500 0.3750 0.6250
0.8750 0.2500 0.1250
0.1250 0.7500 0.8750
0.2500 0.6250 0.3750
0.3750 0.2500 0.6250
0.6250 0.3750 0.2500
0.7500 0.8750 0.1250
0.8750 0.1250 0.7500
0.0000 0.1774 0.5000
0.0000 0.6774 0.5000
0.1774 0.5000 0.0000
0.3226 0.3226 0.3226
0.5000 0.0000 0.1774
0.5000 0.0000 0.6774
0.6774 0.5000 0.0000
0.8226 0.8226 0.8226
```

Main lines, in order of rising 2θ (5 to 70 degrees two-theta):
| 2θ (°) | intensity |
| --- | --- |
| 27.42 | 29 |
| 32.58 | 100 |
| 39.17 | 22 |
| 43.09 | 19 |
| 44.94 | 14 |
| 61.11 | 11 |



Copy entry 1 word for word.
Diffraction record for TmUPb2S6. The powder diffraction line list is theoretical, not measured: it uses a structure optimized by DFT (GGA-PBE) and Cu Ka.

```
TmUPb2S6
1.0
6.9074 0.0000 0.0000
0.0000 7.3517 0.0000
-6.7911 0.0000 10.0496
Tm U Pb S
2 2 4 12
Direct
0.0000 0.0000 0.0000
0.0000 0.5000 0.5000
0.5000 0.0000 0.5000
0.5000 0.5000 0.0000
0.2198 0.0745 0.7444
0.2198 0.4255 0.2444
0.7802 0.5745 0.7556
0.7802 0.9255 0.2556
0.1350 0.1897 0.4436
0.1350 0.3103 0.9436
0.2535 0.6987 0.4372
0.2535 0.8013 0.9372
0.3729 0.0333 0.2530
0.3729 0.4667 0.7530
0.6271 0.5333 0.2470
0.6271 0.9667 0.7470
0.7465 0.1987 0.0628
0.7465 0.3013 0.5628
0.8650 0.6897 0.0564
0.8650 0.8103 0.5564
```

Main lines, in order of rising 2θ (5 to 70 degrees two-theta):
| 2θ (°) | intensity |
| --- | --- |
| 24.21 | 40 |
| 24.93 | 100 |
| 25.15 | 100 |
| 25.80 | 60 |
| 35.70 | 75 |
| 44.85 | 45 |